This entry pairs a crystal structure of LiH3CO3 with its calculated X-ray powder pattern. Radiation: Cu Kα. Structure: a crystal structure in the Materials Project, relaxed with GGA-PBE.

Main lines, in order of falling intensity (2θ = 10–90°):
(hkl), Position (°2θ), I_rel
1 2 0, 28.41, 100
1 2 1, 33.98, 41
2 0 1, 25.49, 41
3 1 0, 29.88, 36
2 1 1, 28.90, 30
1 1 1, 24.39, 29
3 1 1, 35.24, 18
2 1 0, 22.21, 18
0 2 0, 26.96, 17
0 0 2, 37.00, 17

Cell and atoms:
abc: 10.0562 6.6153 4.8588
angles: 90.00 90.00 90.00
Space group Pna2_1 (No. 33)
Asymmetric unit:
1 Li 0.0485 0.1191 0.0000 (multiplicity 4)
2 H 0.0226 0.5239 0.6127 (multiplicity 4)
3 H 0.1303 0.6056 0.3941 (multiplicity 4)
4 H 0.2148 0.6614 0.8948 (multiplicity 4)
5 C 0.1975 0.1131 0.5171 (multiplicity 4)
6 O 0.0331 0.6063 0.4437 (multiplicity 4)
7 O 0.0904 0.0776 0.3881 (multiplicity 4)
8 O 0.2120 0.0993 0.7761 (multiplicity 4)